Diffraction record for KPIrSe5. The X-ray diffraction stick pattern is computed, not measured: it uses a structure optimized by DFT (GGA-PBE) and Cu Kα.

Crystal structure
Lattice parameters (Å, degrees): 18.6728 7.5692 6.7679 90.00 96.38 90.00
Space group C2/m (No. 12)
One atom of each set of equivalent atoms:
1 K 0.2307 0.0000 0.2351
2 P 0.1361 0.5000 0.2111
3 Ir 0.0000 0.2426 0.0000
4 Se 0.0608 0.0000 0.8511
5 Se 0.0789 0.5000 0.8903
6 Se 0.0851 0.2549 0.3181
7 Se 0.2469 0.0000 0.7438

Principal peaks in the range 10 to 80 degrees two-theta, in order of rising 2θ:
| d/Å | Rel. int. |
| --- | --- |
| 6.726 | 881 |
| 5.758 | 1000 |
| 3.504 | 556 |
| 3.163 | 366 |
| 3.055 | 536 |
| 2.760 | 922 |
| 2.320 | 365 |
| 2.291 | 328 |
| 1.928 | 482 |
| 1.892 | 250 |

***

Diffraction record for K2IrWS6. The X-ray diffraction stick pattern is computed, not measured: it uses a structure optimized by DFT (GGA-PBE) and Cu Kα.

Crystal structure
Lattice parameters (Å, degrees): 6.7989 6.7989 18.9825 90.00 90.00 120.00
Space group R3m (No. 160, hexagonal axes)
One atom of each set of equivalent atoms:
1 K 0.0000 0.0000 0.0000
2 K 0.0000 0.0000 0.4896
3 Ir 0.0000 0.0000 0.8255
4 W 0.0000 0.0000 0.2657
5 S 0.1712 0.3424 0.3121
6 S 0.1834 0.3668 0.8217

Principal peaks in the range 10 to 80 degrees two-theta, in order of rising 2θ:
| d/Å | Rel. int. |
| --- | --- |
| 6.328 | 251 |
| 5.003 | 1000 |
| 3.695 | 374 |
| 3.399 | 605 |
| 3.191 | 331 |
| 2.995 | 204 |
| 2.502 | 278 |
| 2.167 | 288 |
| 2.015 | 201 |
| 1.700 | 212 |

***

Diffraction record for KTe5Ir3. The X-ray diffraction stick pattern is computed, not measured: it uses a structure optimized by DFT (GGA-PBE) and Cu Kα.

Crystal structure
Lattice parameters (Å, degrees): 5.9860 5.9860 8.0490 90.00 90.00 120.00
Space group P6/mmm (No. 191)
One atom of each set of equivalent atoms:
1 K 0.0000 0.0000 0.0000
2 Te 0.0000 0.0000 0.5000
3 Te 0.3333 0.6667 0.2436
4 Ir 0.0000 0.5000 0.5000

Principal peaks in the range 10 to 80 degrees two-theta, in order of rising 2θ:
| d/Å | Rel. int. |
| --- | --- |
| 8.049 | 1000 |
| 5.184 | 214 |
| 2.993 | 172 |
| 2.467 | 395 |
| 2.402 | 225 |
| 2.179 | 604 |
| 2.012 | 123 |
| 1.864 | 154 |
| 1.497 | 144 |
| 1.201 | 138 |

***

Diffraction record for K4ThIr2. The X-ray diffraction stick pattern is computed, not measured: it uses a structure optimized by DFT (GGA-PBE) and Cu Kα.

Crystal structure
Lattice parameters (Å, degrees): 3.1904 3.1904 22.8312 90.00 90.00 120.00
Space group P-3m1 (No. 164)
One atom of each set of equivalent atoms:
1 K 0.3333 0.6667 0.3333
2 K 0.3333 0.6667 0.9054
3 Th 0.0000 0.0000 0.5000
4 Ir 0.3333 0.6667 0.2065

Principal peaks in the range 10 to 80 degrees two-theta, in order of rising 2θ:
| d/Å | Rel. int. |
| --- | --- |
| 7.610 | 1000 |
| 5.708 | 243 |
| 3.262 | 343 |
| 2.743 | 580 |
| 2.685 | 429 |
| 2.597 | 253 |
| 2.487 | 253 |
| 2.364 | 239 |
| 2.236 | 282 |
| 1.985 | 224 |

***

What did the first record say?
Diffraction record for KPIrSe5. The X-ray diffraction stick pattern is computed, not measured: it uses a structure optimized by DFT (GGA-PBE) and Cu Kα.

Crystal structure
Lattice parameters (Å, degrees): 18.6728 7.5692 6.7679 90.00 96.38 90.00
Space group C2/m (No. 12)
One atom of each set of equivalent atoms:
1 K 0.2307 0.0000 0.2351
2 P 0.1361 0.5000 0.2111
3 Ir 0.0000 0.2426 0.0000
4 Se 0.0608 0.0000 0.8511
5 Se 0.0789 0.5000 0.8903
6 Se 0.0851 0.2549 0.3181
7 Se 0.2469 0.0000 0.7438

Principal peaks in the range 10 to 80 degrees two-theta, in order of rising 2θ:
| d/Å | Rel. int. |
| --- | --- |
| 6.726 | 881 |
| 5.758 | 1000 |
| 3.504 | 556 |
| 3.163 | 366 |
| 3.055 | 536 |
| 2.760 | 922 |
| 2.320 | 365 |
| 2.291 | 328 |
| 1.928 | 482 |
| 1.892 | 250 |